For CoBiTe, a PBE-relaxed structure gives the computed X-ray diffraction stick pattern in this record (λ = 1.5418 Å (Cu Kα)).

The 8 most intense peaks (2θ from 15° to 90°), in order of rising 2θ:
2θ/deg, I/Imax
23.66, 17
27.39, 59
39.12, 100
48.42, 17
56.53, 17
63.93, 23
70.89, 35
84.08, 11

Crystal structure
abc: 4.605 4.605 4.605
angles: 60.00 60.00 60.00
Sites, in units of the cell vectors:
Co 0.000 0.000 0.000
Bi 0.750 0.750 0.750
Te 0.250 0.250 0.250

***

For Co2BiTe2, a PBE-relaxed structure gives the computed X-ray diffraction stick pattern in this record (λ = 1.5418 Å (Cu Kα)).

The 8 most intense peaks (2θ from 15° to 90°), in order of rising 2θ:
2θ/deg, I/Imax
29.61, 100
33.72, 21
35.80, 25
38.11, 18
48.43, 23
49.76, 31
57.80, 31
70.54, 10

Crystal structure
abc: 8.040 8.040 8.040
angles: 152.96 152.96 38.61
Sites, in units of the cell vectors:
Co 0.250 0.750 0.500
Co 0.750 0.250 0.500
Bi 0.000 0.000 0.000
Te 0.356 0.356 0.000
Te 0.644 0.644 0.000